Starting from a DFT-relaxed cell (GGA-PBE, Alexandria), the X-ray powder pattern of CaIO4F was computed for copper Kα.

Cell lengths 6.025, 6.025, 7.369 Å; angles 102.53, 102.53, 79.14 degrees
Element x y z (fractional)
Ca 0.186 0.186 0.131
Ca 0.814 0.814 0.869
I 0.348 0.348 0.722
I 0.652 0.652 0.278
O 0.134 0.501 0.858
O 0.222 0.222 0.488
O 0.460 0.460 0.283
O 0.499 0.866 0.142
O 0.501 0.134 0.858
O 0.540 0.540 0.717
O 0.778 0.778 0.512
O 0.866 0.499 0.142
F 0.041 0.041 0.839
F 0.959 0.959 0.161

Largest 6 diffraction maxima, in order of falling intensity, 2θ = 10–90°:
d (Å)  Rel. int.
3.838  100
4.135  75
4.365  65
3.302  57
2.528  41
5.817  41